1.
Starting from a GGA-PBE-relaxed structure, the X-ray powder pattern of In4Br7 was calculated for Cu Ka.
Intensities are scaled so that the largest is 100.

a = 13.5845 Å, b = 7.7119 Å, c = 31.9880 Å
α = 90.00°, β = 98.66°, γ = 90.00°
Space group C2/c (No. 15)
Symmetry-distinct sites (fractional):
1 In 0.0000 0.1995 0.2500 [4 per cell]
2 In 0.0709 0.2479 0.4728 [8 per cell]
3 In 0.1419 0.2275 0.6847 [8 per cell]
4 In 0.2084 0.2496 0.8750 [8 per cell]
5 In 0.2500 0.2500 0.0000 [4 per cell]
6 Br 0.0232 0.0091 0.1519 [8 per cell]
7 Br 0.0704 0.4769 0.1643 [8 per cell]
8 Br 0.0715 0.2978 0.9507 [8 per cell]
9 Br 0.1580 0.1656 0.7638 [8 per cell]
10 Br 0.1626 0.0256 0.0486 [8 per cell]
11 Br 0.1886 0.3100 0.3383 [8 per cell]
12 Br 0.2078 0.4841 0.5497 [8 per cell]

Main lines, by intensity (10° ≤ 2θ ≤ 80°):
Position (°2θ)  I_rel  hkl
22.77  100  3 1 -1
29.78  97  2 2 4
33.77  85  2 2 -8
46.53  85  6 2 -2
29.33  78  4 0 -6
27.68  76  2 2 2
29.59  67  1 1 9
37.65  64  4 0 8


2.
Starting from a GGA-PBE-relaxed structure, the X-ray powder pattern of CrCoSi2 was calculated for Cu Ka.
Intensities are scaled so that the largest is 100.

a = 4.5637 Å, b = 4.4599 Å, c = 4.5718 Å
α = 90.00°, β = 90.09°, γ = 90.00°
Space group P2_1 (No. 4)
Symmetry-distinct sites (fractional):
1 Cr 0.1252 0.0000 0.1011 [2 per cell]
2 Co 0.3610 0.7236 0.6101 [2 per cell]
3 Si 0.1621 0.2043 0.5868 [2 per cell]
4 Si 0.3580 0.5181 0.0938 [2 per cell]

Main lines, by intensity (10° ≤ 2θ ≤ 80°):
Position (°2θ)  I_rel  hkl
44.60  100  2 1 0
45.25  99  0 2 1
44.32  90  1 0 -2
49.04  77  1 1 2
34.28  45  1 1 -1
49.68  41  1 2 1
27.96  34  1 1 0
79.80  28  2 3 1


3.
Starting from a GGA-PBE-relaxed structure, the X-ray powder pattern of LaEuS2 was calculated for Cu Ka.
Intensities are scaled so that the largest is 100.

a = 4.1541 Å, b = 4.1541 Å, c = 20.3031 Å
α = 90.00°, β = 90.00°, γ = 120.00°
Space group R-3m (No. 166, hexagonal axes)
Symmetry-distinct sites (fractional):
1 La 0.0000 0.0000 0.0000 [3 per cell]
2 Eu 0.0000 0.0000 0.5000 [3 per cell]
3 S 0.0000 0.0000 0.2491 [6 per cell]

Main lines, by intensity (10° ≤ 2θ ≤ 80°):
Position (°2θ)  I_rel  hkl
30.46  100  1 0 4
26.30  73  0 1 2
43.61  73  1 1 0
51.64  37  2 0 2
54.09  19  0 2 4
71.88  16  2 1 4
71.99  16  1 1 12
63.38  12  2 0 8


4.
Starting from a GGA-PBE-relaxed structure, the X-ray powder pattern of Er2InAu2 was calculated for Cu Ka.
Intensities are scaled so that the largest is 100.

a = 7.9757 Å, b = 7.9757 Å, c = 3.6504 Å
α = 90.00°, β = 90.00°, γ = 90.00°
Space group P4/mbm (No. 127)
Symmetry-distinct sites (fractional):
1 Er 0.1706 0.3294 0.0000 [4 per cell]
2 In 0.0000 0.0000 0.5000 [2 per cell]
3 Au 0.1281 0.6281 0.5000 [4 per cell]

Main lines, by intensity (10° ≤ 2θ ≤ 80°):
Position (°2θ)  I_rel  hkl
35.18  100  2 1 1
35.60  40  3 1 0
33.27  16  2 0 1
62.85  15  3 1 2
68.35  15  5 2 1
15.71  13  1 1 0
49.97  12  0 0 2
40.79  10  3 2 0


5.
Starting from a GGA-PBE-relaxed structure, the X-ray powder pattern of Hf3CoS6 was calculated for Cu Ka.
Intensities are scaled so that the largest is 100.

a = 6.1759 Å, b = 6.1759 Å, c = 17.2760 Å
α = 90.00°, β = 90.00°, γ = 120.00°
Space group R-3 (No. 148, hexagonal axes)
Symmetry-distinct sites (fractional):
1 Hf 0.0000 0.0000 0.0000 [3 per cell]
2 Hf 0.0000 0.0000 0.3288 [6 per cell]
3 Co 0.0000 0.0000 0.5000 [3 per cell]
4 S 0.0036 0.3279 0.5789 [18 per cell]

Main lines, by intensity (10° ≤ 2θ ≤ 80°):
Position (°2θ)  I_rel  hkl
32.91  100  1 1 3
42.95  88  2 -1 6
15.39  81  0 0 3
28.91  66  1 1 0
51.24  34  3 0 0
69.02  21  2 2 6
53.83  20  3 0 3
72.38  20  1 1 12